Simulated X-ray powder pattern
Compound: Cs2SrV4O12
Radiation: Cu Kα, 1.54184 Å
Structure: a crystal structure in Alexandria, relaxed with GGA+U

Largest 10 diffraction maxima, in order of rising 2θ, 2θ from 5° to 70°:
15.54 deg, rel. 16, hkl 1 1 0; 19.07 deg, rel. 19, hkl 1 0 1; 22.05 deg, rel. 17, hkl 1 1 1; 27.09 deg, rel. 100, hkl 2 0 1; 31.38 deg, rel. 47, hkl 2 2 0; 35.20 deg, rel. 23, hkl 2 2 1; 38.69 deg, rel. 15, hkl 2 0 2; 44.97 deg, rel. 27, hkl 4 0 0; 53.29 deg, rel. 37, hkl 2 0 3; 55.87 deg, rel. 12, hkl 4 0 2

```
data_Cs2SrV4O12
_chemical_formula_sum 'Cs2 Sr1 V4 O12'
_cell_length_a 8.062
_cell_length_b 8.062
_cell_length_c 5.701
_cell_angle_alpha 90.00
_cell_angle_beta 90.00
_cell_angle_gamma 90.00
_space_group_name_H-M_alt 'P 4/m m m'
_space_group_IT_number 123
_space_group_name_Hall '-P 4 2'
loop_
_atom_site_label
_atom_site_type_symbol
_atom_site_fract_x
_atom_site_fract_y
_atom_site_fract_z
_atom_site_occupancy
Cs1 Cs 0.000 0.500 0.000 1
Sr1 Sr 0.000 0.000 0.000 1
V1 V 0.277 0.277 0.500 1
O1 O 0.194 0.194 0.258 1
O2 O 0.238 0.500 0.500 1
```